Structure and computed powder X-ray diffraction pattern of SrMg2Pd (a crystal structure in the Materials Project, relaxed with GGA-PBE; Cu Kα (weighted mean of Kα1 and Kα2)).
Neutral-atom scattering factors, no anomalous dispersion.

Atomic structure:
Lattice parameters (Å, degrees): 4.4155 11.3910 8.2007 90.00 90.00 90.00
Atoms (fractional coordinates):
1 Sr 0.0000 0.0536 0.2500
2 Sr 0.0000 0.9464 0.7500
3 Sr 0.5000 0.4464 0.7500
4 Sr 0.5000 0.5536 0.2500
5 Mg 0.0000 0.3354 0.0597
6 Mg 0.0000 0.3354 0.4403
7 Mg 0.0000 0.6646 0.5597
8 Mg 0.0000 0.6646 0.9403
9 Mg 0.5000 0.1646 0.5597
10 Mg 0.5000 0.1646 0.9403
11 Mg 0.5000 0.8354 0.0597
12 Mg 0.5000 0.8354 0.4403
13 Pd 0.0000 0.2283 0.7500
14 Pd 0.0000 0.7717 0.2500
15 Pd 0.5000 0.2717 0.2500
16 Pd 0.5000 0.7283 0.7500

Largest 12 diffraction maxima, most intense first, 2θ from 15° to 90°:
index	2θ/deg	d/Å	Rel. int.
1 3 1	32.97	2.716	100
0 0 2	21.65	4.105	84
1 1 2	30.78	2.905	54
0 4 1	33.31	2.690	40
1 3 3	45.77	1.982	38
1 1 1	24.19	3.679	28
2 0 0	40.88	2.208	28
1 1 3	39.57	2.277	27
2 0 4	61.78	1.502	21
2 4 1	53.71	1.707	20
0 2 0	15.56	5.695	20
0 4 2	38.49	2.339	19